Diffraction record for Y4TmMg. The X-ray powder pattern is simulated, not measured: it uses a DFT-relaxed cell (PBE, Alexandria) and CuKα.
Intensities are scaled so that the largest is 100.

Largest 8 diffraction maxima, in order of rising 2θ, 2θ = 10–80°:
h k l, two_theta, intensity
1 0 2, 27.87, 14
1 0 3, 31.27, 100
1 1 0, 35.45, 36
0 0 6, 37.83, 13
2 0 0, 51.00, 12
1 1 6, 52.81, 19
2 1 3, 61.05, 30
2 0 6, 65.22, 10

Cell and atoms:
Cell: 3.5814 3.5814 14.2693 Å, 90.00 90.00 90.00°
Space group P4/mmm (No. 123)
Unique sites:
Y (0.0000, 0.0000, 0.1518) (multiplicity 2)
Y (0.5000, 0.5000, 0.3270) (multiplicity 2)
Tm (0.0000, 0.0000, 0.5000) (multiplicity 1)
Mg (0.5000, 0.5000, 0.0000) (multiplicity 1)

=====

Diffraction record for Pr14DyEr. The X-ray powder pattern is simulated, not measured: it uses a DFT-relaxed cell (PBE, Alexandria) and CuKα.
Intensities are scaled so that the largest is 100.

Largest 7 diffraction maxima, in order of rising 2θ, 2θ = 10–80°:
h k l, two_theta, intensity
2 0 2, 29.66, 100
2 2 0, 34.38, 51
4 0 0, 49.41, 36
4 2 2, 58.69, 43
4 0 4, 61.57, 12
0 0 8, 72.36, 2
4 4 0, 72.51, 4

Cell and atoms:
Cell: 7.3743 7.3743 10.4478 Å, 90.00 90.00 90.00°
Space group P4/mmm (No. 123)
Unique sites:
Pr (0.0000, 0.0000, 0.0000) (multiplicity 1)
Pr (0.0000, 0.5000, 0.0000) (multiplicity 2)
Pr (0.0000, 0.5000, 0.5000) (multiplicity 2)
Pr (0.2504, 0.2504, 0.2529) (multiplicity 8)
Pr (0.5000, 0.5000, 0.0000) (multiplicity 1)
Dy (0.0000, 0.0000, 0.5000) (multiplicity 1)
Er (0.5000, 0.5000, 0.5000) (multiplicity 1)

=====

Diffraction record for Fe5Sb. The X-ray powder pattern is simulated, not measured: it uses a DFT-relaxed cell (PBE, Alexandria) and CuKα.
Intensities are scaled so that the largest is 100.

Largest 8 diffraction maxima, in order of rising 2θ, 2θ = 10–80°:
h k l, two_theta, intensity
1 1 1, 34.94, 7
1 3 1, 42.38, 100
2 0 0, 48.46, 18
0 0 2, 48.98, 17
0 6 0, 50.54, 13
2 0 2, 71.37, 11
2 6 0, 72.62, 8
0 6 2, 73.03, 8

Cell and atoms:
Cell: 3.7570 10.8347 3.7195 Å, 90.00 90.00 90.00°
Space group Cmmm (No. 65)
Unique sites:
Fe (0.0000, 0.0000, 0.0000) (multiplicity 2)
Fe (0.0000, 0.1795, 0.5000) (multiplicity 4)
Fe (0.0000, 0.3176, 0.0000) (multiplicity 4)
Sb (0.0000, 0.5000, 0.5000) (multiplicity 2)

=====

Diffraction record for La2Nd3In3. The X-ray powder pattern is simulated, not measured: it uses a DFT-relaxed cell (PBE, Alexandria) and CuKα.
Intensities are scaled so that the largest is 100.

Largest 8 diffraction maxima, in order of rising 2θ, 2θ = 10–80°:
h k l, two_theta, intensity
1 1 2, 31.16, 100
0 2 0, 35.15, 18
2 0 0, 35.70, 18
0 0 4, 37.51, 14
2 2 0, 50.97, 13
1 3 2, 60.59, 15
3 1 2, 61.32, 14
2 2 4, 64.98, 11

Cell and atoms:
Cell: 5.0296 5.1061 9.5917 Å, 90.00 90.00 90.00°
Space group Pmmm (No. 47)
Unique sites:
La (0.0000, 0.0000, 0.2412) (multiplicity 2)
Nd (0.5000, 0.0000, 0.5000) (multiplicity 1)
Nd (0.5000, 0.5000, 0.2304) (multiplicity 2)
In (0.0000, 0.5000, 0.0000) (multiplicity 1)
In (0.0000, 0.5000, 0.5000) (multiplicity 1)
In (0.5000, 0.0000, 0.0000) (multiplicity 1)

=====

Diffraction record for YTi2O4. The X-ray powder pattern is simulated, not measured: it uses a DFT-relaxed cell (PBE, Alexandria) and CuKα.
Intensities are scaled so that the largest is 100.

Largest 8 diffraction maxima, in order of rising 2θ, 2θ = 10–80°:
h k l, two_theta, intensity
0 1 1, 17.24, 49
0 0 2, 20.63, 42
0 2 2, 34.89, 38
2 0 2, 35.70, 35
2 2 0, 40.49, 100
0 0 4, 41.96, 45
2 2 2, 45.86, 20
4 0 0, 59.72, 68

Cell and atoms:
Cell: 6.1962 6.4112 8.6121 Å, 90.00 90.00 90.00°
Space group Imma (No. 74)
Unique sites:
Y (0.0000, 0.0000, 0.0000) (multiplicity 4)
Ti (0.0000, 0.0000, 0.5000) (multiplicity 4)
Ti (0.2500, 0.2500, 0.2500) (multiplicity 4)
O (0.0000, 0.0333, 0.2639) (multiplicity 8)
O (0.2308, 0.2500, 0.4987) (multiplicity 8)

=====

Diffraction record for Al2Ga7Ag2. The X-ray powder pattern is simulated, not measured: it uses a DFT-relaxed cell (PBE, Alexandria) and CuKα.
Intensities are scaled so that the largest is 100.

Largest 8 diffraction maxima, in order of rising 2θ, 2θ = 10–80°:
h k l, two_theta, intensity
2 0 1, 26.01, 45
2 2 0, 29.03, 59
1 1 2, 33.45, 63
0 2 2, 36.11, 48
3 1 1, 36.91, 56
0 4 0, 39.79, 66
2 2 2, 42.25, 100
1 3 2, 44.09, 49

Cell and atoms:
Cell: 8.3799 9.0623 5.9514 Å, 90.00 90.00 90.00°
Space group Cmmm (No. 65)
Unique sites:
Al (0.0000, 0.2159, 0.0000) (multiplicity 4)
Ga (0.0000, 0.0000, 0.2888) (multiplicity 4)
Ga (0.0000, 0.5000, 0.0000) (multiplicity 2)
Ga (0.2500, 0.2500, 0.2688) (multiplicity 8)
Ag (0.1733, 0.5000, 0.5000) (multiplicity 4)

=====

Diffraction record for MnAl4In. The X-ray powder pattern is simulated, not measured: it uses a DFT-relaxed cell (PBE, Alexandria) and CuKα.
Intensities are scaled so that the largest is 100.

Largest 8 diffraction maxima, in order of rising 2θ, 2θ = 10–80°:
h k l, two_theta, intensity
1 1 1, 20.35, 35
2 0 0, 23.54, 11
2 2 0, 33.53, 72
3 1 1, 39.54, 100
2 2 2, 41.38, 14
4 2 2, 59.95, 25
5 1 1, 64.00, 31
4 4 0, 70.47, 20

Cell and atoms:
Cell: 7.5589 7.5589 7.5589 Å, 90.00 90.00 90.00°
Space group F-43m (No. 216)
Unique sites:
Mn (0.0000, 0.0000, 0.0000) (multiplicity 4)
Al (0.1253, 0.1253, 0.3747) (multiplicity 16)
In (0.2500, 0.2500, 0.7500) (multiplicity 4)

=====

Diffraction record for AcDy6Er. The X-ray powder pattern is simulated, not measured: it uses a DFT-relaxed cell (PBE, Alexandria) and CuKα.
Intensities are scaled so that the largest is 100.

Largest 8 diffraction maxima, in order of rising 2θ, 2θ = 10–80°:
h k l, two_theta, intensity
0 0 3, 26.32, 1
1 1 2, 30.48, 100
2 0 0, 35.33, 51
2 2 0, 50.83, 36
3 1 2, 60.43, 43
2 2 4, 63.42, 12
4 0 0, 74.71, 4
0 0 8, 74.81, 2

Cell and atoms:
Cell: 5.0825 5.0825 10.1525 Å, 90.00 90.00 90.00°
Space group P4/mmm (No. 123)
Unique sites:
Ac (0.0000, 0.0000, 0.0000) (multiplicity 1)
Dy (0.0000, 0.5000, 0.2591) (multiplicity 4)
Dy (0.5000, 0.5000, 0.0000) (multiplicity 1)
Dy (0.5000, 0.5000, 0.5000) (multiplicity 1)
Er (0.0000, 0.0000, 0.5000) (multiplicity 1)

=====

Diffraction record for CsCdGaHPt. The X-ray powder pattern is simulated, not measured: it uses a DFT-relaxed cell (PBE, Alexandria) and CuKα.
Intensities are scaled so that the largest is 100.

Largest 8 diffraction maxima, in order of rising 2θ, 2θ = 10–80°:
h k l, two_theta, intensity
0 0 1, 12.18, 86
0 0 2, 24.50, 62
1 0 1, 25.66, 100
0 1 2, 33.51, 43
1 1 0, 39.50, 77
1 1 1, 41.49, 27
1 0 3, 43.84, 34
1 1 2, 47.03, 64

Cell and atoms:
Cell: 4.5626 4.5626 7.2670 Å, 90.00 90.00 120.00°
Space group P3m1 (No. 156)
Unique sites:
Cs (0.0000, 0.0000, 0.0000) (multiplicity 1)
Cd (0.3333, 0.6667, 0.5860) (multiplicity 1)
Ga (0.0000, 0.0000, 0.4790) (multiplicity 1)
H (0.6667, 0.3333, 0.2339) (multiplicity 1)
Pt (0.6667, 0.3333, 0.4603) (multiplicity 1)